No. 1
This entry pairs a crystal structure of Li5Ca7Sn11 with its simulated XRD peak list. Radiation: Cu Ka. Structure: a cell relaxed with PBE.
Lines closer than 0.1° are merged.

Main lines, in order of rising 2θ (10 to 90 degrees two-theta):
| 2θ (°) | I/Imax |
| --- | --- |
| 19.9 | 60 |
| 21.6 | 69 |
| 27.9 | 43 |
| 28.5 | 34 |
| 31.6 | 100 |
| 38.9 | 55 |
| 39.8 | 31 |
| 40.8 | 30 |
| 42.2 | 22 |
| 63.3 | 28 |

Crystal structure
```
data_Li5Ca7Sn11
_chemical_formula_sum 'Li20 Ca28 Sn44'
_space_group_name_H-M_alt 'C m c m'
_space_group_IT_number 63
_space_group_name_Hall '-C 2c 2'
_cell_length_a 4.6284
_cell_length_b 17.1277
_cell_length_c 32.0324
_cell_angle_alpha 90.00
_cell_angle_beta 90.00
_cell_angle_gamma 90.00
loop_
_atom_site_label
_atom_site_type_symbol
_atom_site_fract_x
_atom_site_fract_y
_atom_site_fract_z
_atom_site_occupancy
Li1 Li 0.0000 0.1578 0.2500 1
Li2 Li 0.0000 0.2083 0.5279 1
Li3 Li 0.0000 0.2884 0.6164 1
Ca1 Ca 0.0000 0.3512 0.2500 1
Ca2 Ca 0.0000 0.3936 0.1012 1
Ca3 Ca 0.0000 0.4034 0.5302 1
Ca4 Ca 0.0000 0.4544 0.6835 1
Sn1 Sn 0.0000 0.0095 0.7500 1
Sn2 Sn 0.0000 0.0453 0.5385 1
Sn3 Sn 0.0000 0.0713 0.1079 1
Sn4 Sn 0.0000 0.1085 0.6748 1
Sn5 Sn 0.0000 0.2206 0.0616 1
Sn6 Sn 0.0000 0.2693 0.7056 1
```

No. 2
This entry pairs a crystal structure of Te2MoW2Se4 with its simulated XRD peak list. Radiation: Cu Ka. Structure: a cell relaxed with PBE.
Lines closer than 0.1° are merged.

Main lines, in order of rising 2θ (10 to 90 degrees two-theta):
| 2θ (°) | I/Imax |
| --- | --- |
| 11.3 | 100 |
| 14.1 | 15 |
| 30.3 | 29 |
| 30.5 | 14 |
| 34.9 | 48 |
| 36.5 | 59 |
| 42.0 | 26 |
| 44.2 | 43 |
| 53.9 | 33 |
| 76.0 | 13 |

Crystal structure
```
data_Te2MoW2Se4
_chemical_formula_sum 'Te2 Mo1 W2 Se4'
_space_group_name_H-M_alt 'P 3 m 1'
_space_group_IT_number 156
_cell_length_a 3.4011
_cell_length_b 3.4011
_cell_length_c 31.4406
_cell_angle_alpha 90.00
_cell_angle_beta 90.00
_cell_angle_gamma 120.00
loop_
_space_group_symop_operation_xyz
'x,y,z'
'-y,x-y,z'
'-x+y,-x,z'
'-y,-x,z'
'-x+y,y,z'
'x,x-y,z'
loop_
_atom_site_label
_atom_site_type_symbol
_atom_site_fract_x
_atom_site_fract_y
_atom_site_fract_z
_atom_site_occupancy
Te1 Te 0.0000 0.0000 0.0000 1
Te2 Te 0.0000 0.0000 0.1196 1
Mo1 Mo 0.0000 0.0000 0.8285 1
W1 W 0.0000 0.0000 0.2912 1
W2 W 0.3333 0.6667 0.0598 1
Se1 Se 0.3333 0.6667 0.2386 1
Se2 Se 0.3333 0.6667 0.3437 1
Se3 Se 0.3333 0.6667 0.7761 1
Se4 Se 0.3333 0.6667 0.8809 1
```